# 1
# LiTmNp2S6
Theoretical powder XRD pattern, Cu Kα (weighted mean of Kα1 and Kα2). Input: the GGA-PBE geometry in Alexandria.

Atomic structure:
a = 6.135 Å, b = 6.135 Å, c = 6.579 Å
α = 90.00°, β = 90.00°, γ = 90.00°
Element x y z (fractional)
Li (0.000, 0.000, 0.000)
Tm (0.500, 0.500, 0.031)
Np (0.000, 0.500, 0.456)
Np (0.500, 0.000, 0.456)
S (0.000, 0.000, 0.637)
S (0.241, 0.241, 0.216)
S (0.241, 0.759, 0.216)
S (0.500, 0.500, 0.634)
S (0.759, 0.241, 0.216)
S (0.759, 0.759, 0.216)

Principal peaks in the range 2θ from 10° to 90°, in order of falling intensity:
two_theta, I (rel.)
24.58, 100.0
13.46, 41.7
40.20, 38.0
48.95, 32.8
29.11, 30.8
41.64, 25.2
34.21, 24.9
46.40, 18.6
32.20, 17.8
64.09, 15.4
54.95, 12.9
19.79, 12.4

# 2
# Li3Np3US8
Theoretical powder XRD pattern, Cu Kα (weighted mean of Kα1 and Kα2). Input: the GGA-PBE geometry in Alexandria.

Atomic structure:
a = 7.628 Å, b = 7.628 Å, c = 7.628 Å
α = 62.47°, β = 62.47°, γ = 62.47°
Element x y z (fractional)
Li (0.000, 0.500, 0.500)
Li (0.500, 0.000, 0.500)
Li (0.500, 0.500, 0.000)
Np (0.000, 0.000, 0.500)
Np (0.000, 0.500, 0.000)
Np (0.500, 0.000, 0.000)
U (0.500, 0.500, 0.500)
S (0.250, 0.250, 0.250)
S (0.255, 0.255, 0.745)
S (0.255, 0.745, 0.255)
S (0.255, 0.745, 0.745)
S (0.745, 0.255, 0.255)
S (0.745, 0.255, 0.745)
S (0.745, 0.745, 0.255)
S (0.750, 0.750, 0.750)

Principal peaks in the range 2θ from 10° to 90°, in order of falling intensity:
two_theta, I (rel.)
14.50, 100.0
32.64, 77.4
26.47, 73.6
27.81, 34.8
35.88, 33.3
48.38, 30.4
45.89, 29.7
47.76, 26.5
43.51, 20.9
57.45, 15.3
76.46, 13.5
79.25, 12.3

# 3
# Li3YNp4S8
Theoretical powder XRD pattern, Cu Kα (weighted mean of Kα1 and Kα2). Input: the GGA-PBE geometry in Alexandria.

Atomic structure:
a = 7.740 Å, b = 7.740 Å, c = 7.742 Å
α = 119.35°, β = 119.35°, γ = 60.61°
Element x y z (fractional)
Li (0.000, 0.000, 0.000)
Li (0.000, 0.500, 0.500)
Li (0.500, 0.000, 0.500)
Y (0.500, 0.500, 0.000)
Np (0.000, 0.000, 0.500)
Np (0.000, 0.500, 0.000)
Np (0.500, 0.000, 0.000)
Np (0.500, 0.500, 0.500)
S (0.244, 0.750, 0.751)
S (0.248, 0.248, 0.251)
S (0.250, 0.250, 0.746)
S (0.250, 0.756, 0.249)
S (0.750, 0.244, 0.751)
S (0.750, 0.750, 0.254)
S (0.752, 0.752, 0.749)
S (0.756, 0.250, 0.249)

Principal peaks in the range 2θ from 10° to 90°, in order of falling intensity:
two_theta, I (rel.)
32.57, 100.0
14.08, 90.9
26.77, 65.2
28.01, 49.5
46.48, 36.8
46.96, 35.7
35.64, 32.5
57.90, 19.1
42.90, 18.1
48.80, 17.6
55.36, 17.0
77.30, 16.7

# 4
# LiNp2ScTe5
Theoretical powder XRD pattern, Cu Kα (weighted mean of Kα1 and Kα2). Input: the GGA-PBE geometry in Alexandria.

Atomic structure:
a = 9.433 Å, b = 9.433 Å, c = 12.873 Å
α = 90.00°, β = 90.00°, γ = 153.69°
Element x y z (fractional)
Li (0.065, 0.935, 0.500)
Li (0.935, 0.065, 0.000)
Np (0.374, 0.626, 0.346)
Np (0.391, 0.609, 0.726)
Np (0.609, 0.391, 0.226)
Np (0.626, 0.374, 0.846)
Sc (0.305, 0.695, 0.054)
Sc (0.695, 0.305, 0.554)
Te (0.002, 0.998, 0.821)
Te (0.143, 0.857, 0.042)
Te (0.193, 0.807, 0.391)
Te (0.215, 0.785, 0.708)
Te (0.452, 0.548, 0.111)
Te (0.548, 0.452, 0.611)
Te (0.785, 0.215, 0.208)
Te (0.807, 0.193, 0.891)
Te (0.857, 0.143, 0.542)
Te (0.998, 0.002, 0.321)

Principal peaks in the range 2θ from 10° to 90°, in order of falling intensity:
two_theta, I (rel.)
29.84, 100.0
35.04, 47.1
32.06, 40.6
28.94, 35.8
42.09, 35.2
13.76, 31.9
30.00, 31.2
36.23, 22.0
28.47, 18.5
25.40, 15.8
36.03, 14.3
11.84, 13.3

# 5
# LiNpSe3
Theoretical powder XRD pattern, Cu Kα (weighted mean of Kα1 and Kα2). Input: the GGA-PBE geometry in Alexandria.

Atomic structure:
a = 7.211 Å, b = 7.211 Å, c = 8.603 Å
α = 92.95°, β = 92.95°, γ = 44.93°
Element x y z (fractional)
Li (0.244, 0.244, 0.336)
Li (0.756, 0.756, 0.664)
Np (0.140, 0.140, 0.913)
Np (0.860, 0.860, 0.087)
Se (0.057, 0.057, 0.194)
Se (0.206, 0.206, 0.634)
Se (0.335, 0.335, 0.062)
Se (0.665, 0.665, 0.938)
Se (0.794, 0.794, 0.366)
Se (0.943, 0.943, 0.806)

Principal peaks in the range 2θ from 10° to 90°, in order of falling intensity:
two_theta, I (rel.)
10.30, 100.0
17.42, 45.6
32.50, 33.4
29.32, 30.9
20.47, 27.3
33.37, 24.4
44.33, 20.1
47.27, 18.5
24.03, 17.2
39.54, 13.5
34.17, 12.4
35.65, 11.5

# 6
# LiNp4Se6
Theoretical powder XRD pattern, Cu Kα (weighted mean of Kα1 and Kα2). Input: the GGA-PBE geometry in Alexandria.

Atomic structure:
a = 7.972 Å, b = 7.972 Å, c = 7.972 Å
α = 90.70°, β = 90.70°, γ = 90.70°
Element x y z (fractional)
Li (0.000, 0.000, 0.000)
Li (0.500, 0.500, 0.500)
Np (0.137, 0.750, 0.363)
Np (0.250, 0.250, 0.250)
Np (0.250, 0.637, 0.863)
Np (0.363, 0.137, 0.750)
Np (0.637, 0.863, 0.250)
Np (0.750, 0.363, 0.137)
Np (0.750, 0.750, 0.750)
Np (0.863, 0.250, 0.637)
Se (0.060, 0.920, 0.686)
Se (0.080, 0.314, 0.940)
Se (0.186, 0.420, 0.560)
Se (0.314, 0.940, 0.080)
Se (0.420, 0.560, 0.186)
Se (0.440, 0.814, 0.580)
Se (0.560, 0.186, 0.420)
Se (0.580, 0.440, 0.814)
Se (0.686, 0.060, 0.920)
Se (0.814, 0.580, 0.440)
Se (0.920, 0.686, 0.060)
Se (0.940, 0.080, 0.314)

Principal peaks in the range 2θ from 10° to 90°, in order of falling intensity:
two_theta, I (rel.)
33.54, 100.0
37.37, 91.9
25.10, 78.2
27.23, 68.7
22.31, 65.4
42.22, 57.6
27.35, 47.1
31.95, 47.0
35.75, 40.7
68.23, 40.3
48.41, 39.7
48.77, 39.0

# 7
# Li2Np3Se6
Theoretical powder XRD pattern, Cu Kα (weighted mean of Kα1 and Kα2). Input: the GGA-PBE geometry in Alexandria.

Atomic structure:
a = 7.141 Å, b = 7.141 Å, c = 6.848 Å
α = 99.98°, β = 99.98°, γ = 119.98°
Element x y z (fractional)
Li (0.167, 0.833, 0.000)
Li (0.833, 0.167, 0.000)
Np (0.000, 0.000, 0.500)
Np (0.335, 0.665, 0.500)
Np (0.665, 0.335, 0.500)
Se (0.078, 0.416, 0.747)
Se (0.246, 0.246, 0.249)
Se (0.416, 0.078, 0.747)
Se (0.584, 0.922, 0.253)
Se (0.754, 0.754, 0.751)
Se (0.922, 0.584, 0.253)

Principal peaks in the range 2θ from 10° to 90°, in order of falling intensity:
two_theta, I (rel.)
31.18, 100.0
13.79, 75.4
25.37, 55.1
43.91, 39.2
45.41, 35.7
34.23, 25.4
46.25, 23.3
54.83, 20.5
72.76, 17.7
74.96, 16.4
41.41, 16.2
65.02, 12.3

# 8
# LiNp3Se4
Theoretical powder XRD pattern, Cu Kα (weighted mean of Kα1 and Kα2). Input: the GGA-PBE geometry in Alexandria.

Atomic structure:
a = 5.792 Å, b = 5.792 Å, c = 11.561 Å
α = 90.00°, β = 90.00°, γ = 90.00°
Element x y z (fractional)
Li (0.000, 0.000, 0.000)
Li (0.500, 0.500, 0.500)
Np (0.000, 0.000, 0.500)
Np (0.000, 0.500, 0.250)
Np (0.000, 0.500, 0.750)
Np (0.500, 0.000, 0.250)
Np (0.500, 0.000, 0.750)
Np (0.500, 0.500, 0.000)
Se (0.000, 0.000, 0.247)
Se (0.000, 0.000, 0.753)
Se (0.000, 0.500, 0.000)
Se (0.000, 0.500, 0.500)
Se (0.500, 0.000, 0.000)
Se (0.500, 0.000, 0.500)
Se (0.500, 0.500, 0.253)
Se (0.500, 0.500, 0.747)

Principal peaks in the range 2θ from 10° to 90°, in order of falling intensity:
two_theta, I (rel.)
30.90, 100.0
44.26, 75.4
54.95, 26.8
26.67, 25.9
17.12, 25.9
73.07, 23.2
81.42, 17.6
52.43, 13.7
73.19, 11.5
27.81, 9.2
35.51, 8.9
42.04, 8.8